For Sr2Li16Sm, DFT lattice parameters and positions (GGA-PBE) gives the calculated powder diffraction line list in this record (Cu Kα (λ = 1.5418 Å)).
Kinematic intensities with the Lorentz-polarization factor, no thermal factor.

Structural model:
a = 7.8254 Å, b = 7.8254 Å, c = 7.8254 Å
α = 82.80°, β = 82.80°, γ = 82.80°
Fractional coordinates of all 19 atoms:
Sr1 0.0000 0.0000 0.0000
Sr2 0.3061 0.3061 0.3061
Li1 0.1644 0.6443 0.6443
Li2 0.3065 0.3065 0.7954
Li3 0.3065 0.7954 0.3065
Li4 0.3512 0.6485 0.9425
Li5 0.3512 0.9425 0.6485
Li6 0.4928 0.9984 0.9984
Li7 0.5452 0.5452 0.5452
Li8 0.6443 0.1644 0.6443
Li9 0.6443 0.6443 0.1644
Li10 0.6485 0.3512 0.9425
Li11 0.6485 0.9425 0.3512
Li12 0.7954 0.3065 0.3065
Li13 0.9425 0.3512 0.6485
Li14 0.9425 0.6485 0.3512
Li15 0.9984 0.4928 0.9984
Li16 0.9984 0.9984 0.4928
Sm1 0.7480 0.7480 0.7480

Principal peaks in the range 5 to 70 degrees two-theta, low angle first:
Position (°2θ)  d_spacing  I (rel.)
15.3  5.787  25
17.1  5.175  100
24.6  3.615  37
25.5  3.490  30
29.9  2.988  34
30.9  2.894  21
34.7  2.588  26
34.9  2.572  19
35.5  2.526  27
50.0  1.824  21

For Li3Sm5Te8, DFT lattice parameters and positions (GGA-PBE) gives the calculated powder diffraction line list in this record (Cu Kα (λ = 1.5418 Å)).
Kinematic intensities with the Lorentz-polarization factor, no thermal factor.

Structural model:
a = 8.7929 Å, b = 8.7929 Å, c = 8.7929 Å
α = 60.00°, β = 60.00°, γ = 60.00°
Fractional coordinates of all 16 atoms:
Li1 0.0000 0.5000 0.5000
Li2 0.5000 0.0000 0.5000
Li3 0.5000 0.5000 0.0000
Sm1 0.0000 0.0000 0.0000
Sm2 0.0000 0.0000 0.5000
Sm3 0.0000 0.5000 0.0000
Sm4 0.5000 0.0000 0.0000
Sm5 0.5000 0.5000 0.5000
Te1 0.2500 0.2500 0.7400
Te2 0.2500 0.7400 0.2500
Te3 0.2536 0.2536 0.2536
Te4 0.2600 0.7500 0.7500
Te5 0.7400 0.2500 0.2500
Te6 0.7464 0.7464 0.7464
Te7 0.7500 0.2600 0.7500
Te8 0.7500 0.7500 0.2600

Principal peaks in the range 5 to 70 degrees two-theta, low angle first:
Position (°2θ)  d_spacing  I (rel.)
12.3  7.179  14
23.7  3.749  14
28.7  3.109  100
31.4  2.853  10
37.6  2.393  4
41.1  2.198  75
50.9  1.795  27
56.9  1.619  5
59.5  1.554  12
67.4  1.390  34

For LiSm4Te4, DFT lattice parameters and positions (GGA-PBE) gives the calculated powder diffraction line list in this record (Cu Kα (λ = 1.5418 Å)).
Kinematic intensities with the Lorentz-polarization factor, no thermal factor.

Structural model:
a = 9.1529 Å, b = 9.1529 Å, c = 6.2084 Å
α = 90.00°, β = 90.00°, γ = 90.00°
Fractional coordinates of all 18 atoms:
Li1 0.2500 0.7500 0.2500
Li2 0.7500 0.2500 0.7500
Sm1 0.0473 0.2500 0.0046
Sm2 0.2500 0.0473 0.5046
Sm3 0.2500 0.4527 0.5046
Sm4 0.4527 0.2500 0.0046
Sm5 0.5473 0.7500 0.9954
Sm6 0.7500 0.5473 0.4954
Sm7 0.7500 0.9527 0.4954
Sm8 0.9527 0.7500 0.9954
Te1 0.0265 0.7500 0.5026
Te2 0.2500 0.5265 0.9974
Te3 0.2500 0.9735 0.9974
Te4 0.4735 0.7500 0.5026
Te5 0.5265 0.2500 0.4974
Te6 0.7500 0.0265 0.0026
Te7 0.7500 0.4735 0.0026
Te8 0.9735 0.2500 0.4974

Principal peaks in the range 5 to 70 degrees two-theta, low angle first:
Position (°2θ)  d_spacing  I (rel.)
27.6  3.236  100
28.8  3.104  58
34.2  2.623  57
39.4  2.288  31
40.3  2.240  74
49.5  1.842  31
54.5  1.683  15
59.6  1.552  9
60.9  1.522  32
66.9  1.399  16

For LiSm2YTe5, DFT lattice parameters and positions (GGA-PBE) gives the calculated powder diffraction line list in this record (Cu Kα (λ = 1.5418 Å)).
Kinematic intensities with the Lorentz-polarization factor, no thermal factor.

Structural model:
a = 9.5760 Å, b = 9.5760 Å, c = 13.2169 Å
α = 90.00°, β = 90.00°, γ = 153.58°
Fractional coordinates of all 18 atoms:
Li1 0.0575 0.9425 0.5000
Li2 0.9425 0.0575 0.0000
Sm1 0.3734 0.6266 0.3373
Sm2 0.3942 0.6058 0.7217
Sm3 0.6058 0.3942 0.2217
Sm4 0.6266 0.3734 0.8373
Y1 0.3025 0.6975 0.0455
Y2 0.6975 0.3025 0.5455
Te1 0.0019 0.9981 0.8192
Te2 0.1377 0.8623 0.0347
Te3 0.1885 0.8115 0.3806
Te4 0.2176 0.7824 0.7057
Te5 0.4533 0.5467 0.1098
Te6 0.5467 0.4533 0.6098
Te7 0.7824 0.2176 0.2057
Te8 0.8115 0.1885 0.8806
Te9 0.8623 0.1377 0.5347
Te10 0.9981 0.0019 0.3192

Principal peaks in the range 5 to 70 degrees two-theta, low angle first:
Position (°2θ)  d_spacing  I (rel.)
24.9  3.581  16
27.9  3.202  13
28.4  3.147  19
29.2  3.063  100
29.5  3.025  35
31.5  2.838  23
34.4  2.608  56
35.3  2.542  19
41.3  2.188  28
51.5  1.773  15

- What is the formula in the fourth record?
  LiSm2YTe5

- Which formula does entry 1 have?
  Sr2Li16Sm